The following is a calculated powder diffractogram of KHg3IrSe4. It was derived from DFT lattice parameters and positions (GGA-PBE), using Cu Kα (weighted mean of Kα1 and Kα2).
Intensities are scaled so that the largest is 100.

Crystal structure
Cell: 7.380 7.380 7.380 Å, 90.00 90.00 90.00°
Atoms (fractional coordinates):
K 0.000 0.000 0.000
Hg 0.000 0.500 0.500
Hg 0.500 0.000 0.500
Hg 0.500 0.500 0.000
Ir 0.500 0.500 0.500
Se 0.317 0.317 0.317
Se 0.317 0.683 0.683
Se 0.683 0.317 0.683
Se 0.683 0.683 0.317

Top 10 peaks for 5 to 70 degrees two-theta, in order of falling intensity:
2theta, Rel. int., h k l
12.0, 100, 1 0 0
34.4, 70, 2 2 0
20.8, 42, 1 1 1
24.1, 34, 2 0 0
55.7, 27, 4 2 0
40.5, 25, 3 1 1
36.5, 24, 2 2 1
44.3, 22, 3 2 0
61.6, 19, 4 2 2
27.0, 18, 2 1 0